Diffraction record for HoTmAlOs. The powder XRD pattern is theoretical, not measured: it uses DFT lattice parameters and positions (GGA-PBE) and copper Kα.
Intensities are scaled so that the largest is 100.

Structure:
Cell: 6.9219 6.9219 6.9219 Å, 90.00 90.00 90.00°
Fractional coordinates of all 16 atoms:
Ho 0.0000 0.0000 0.0000
Ho 0.0000 0.5000 0.5000
Ho 0.5000 0.0000 0.5000
Ho 0.5000 0.5000 0.0000
Tm 0.0000 0.0000 0.5000
Tm 0.0000 0.5000 0.0000
Tm 0.5000 0.0000 0.0000
Tm 0.5000 0.5000 0.5000
Al 0.2500 0.2500 0.2500
Al 0.2500 0.7500 0.7500
Al 0.7500 0.2500 0.7500
Al 0.7500 0.7500 0.2500
Os 0.2500 0.2500 0.7500
Os 0.2500 0.7500 0.2500
Os 0.7500 0.2500 0.2500
Os 0.7500 0.7500 0.7500

The 8 most intense peaks (5 to 70 degrees two-theta), low angle first:
Position (°2θ)	intensity
22.24	20
25.74	6
36.72	100
43.36	11
52.91	18
58.09	5
59.75	2
66.13	36

---

Diffraction record for HoAlP. The powder XRD pattern is theoretical, not measured: it uses DFT lattice parameters and positions (GGA-PBE) and copper Kα.
Intensities are scaled so that the largest is 100.

Structure:
Cell: 8.0390 8.0390 8.0390 Å, 33.52 33.52 33.52°
Fractional coordinates of all 6 atoms:
Ho 0.0944 0.0944 0.0944
Ho 0.9056 0.9056 0.9056
Al 0.3222 0.3222 0.3222
Al 0.6778 0.6778 0.6778
P 0.2175 0.2175 0.2175
P 0.7825 0.7825 0.7825

The 8 most intense peaks (5 to 70 degrees two-theta), low angle first:
Position (°2θ)	intensity
22.48	100
23.47	33
27.19	39
29.68	72
35.54	39
38.84	71
45.87	60
53.65	32

---

Diffraction record for HoPaAlRe. The powder XRD pattern is theoretical, not measured: it uses DFT lattice parameters and positions (GGA-PBE) and copper Kα.
Intensities are scaled so that the largest is 100.

Structure:
Cell: 6.8262 6.8262 6.8262 Å, 90.00 90.00 90.00°
Fractional coordinates of all 16 atoms:
Ho 0.0000 0.0000 0.0000
Ho 0.0000 0.5000 0.5000
Ho 0.5000 0.0000 0.5000
Ho 0.5000 0.5000 0.0000
Pa 0.2500 0.2500 0.7500
Pa 0.2500 0.7500 0.2500
Pa 0.7500 0.2500 0.2500
Pa 0.7500 0.7500 0.7500
Al 0.2500 0.2500 0.2500
Al 0.2500 0.7500 0.7500
Al 0.7500 0.2500 0.7500
Al 0.7500 0.7500 0.2500
Re 0.0000 0.0000 0.5000
Re 0.0000 0.5000 0.0000
Re 0.5000 0.0000 0.0000
Re 0.5000 0.5000 0.5000

The 8 most intense peaks (5 to 70 degrees two-theta), low angle first:
Position (°2θ)	intensity
22.56	26
26.11	3
37.26	100
44.00	14
53.71	18
58.98	6
60.67	1
67.18	36

---

Diffraction record for Ho5Al2Pb. The powder XRD pattern is theoretical, not measured: it uses DFT lattice parameters and positions (GGA-PBE) and copper Kα.
Intensities are scaled so that the largest is 100.

Structure:
Cell: 8.8878 8.8878 8.8878 Å, 126.84 126.84 78.51°
Fractional coordinates of all 16 atoms:
Ho 0.0000 0.0000 0.0000
Ho 0.0170 0.5170 0.8253
Ho 0.1917 0.0170 0.5000
Ho 0.3083 0.8083 0.8253
Ho 0.4830 0.3083 0.5000
Ho 0.5000 0.5000 0.0000
Ho 0.5170 0.6917 0.5000
Ho 0.6917 0.1917 0.1747
Ho 0.8083 0.9830 0.5000
Ho 0.9830 0.4830 0.1747
Al 0.1270 0.3730 0.5000
Al 0.3730 0.8730 0.2459
Al 0.6270 0.1270 0.7541
Al 0.8730 0.6270 0.5000
Pb 0.2500 0.2500 0.0000
Pb 0.7500 0.7500 0.0000

The 8 most intense peaks (5 to 70 degrees two-theta), low angle first:
Position (°2θ)	intensity
25.87	39
30.45	44
31.83	100
34.47	52
35.70	64
51.38	28
53.22	38
55.85	29

---

Diffraction record for Ho2AlPd8. The powder XRD pattern is theoretical, not measured: it uses DFT lattice parameters and positions (GGA-PBE) and copper Kα.
Intensities are scaled so that the largest is 100.

Structure:
Cell: 7.9714 7.9714 5.9507 Å, 111.83 111.83 33.41°
Fractional coordinates of all 11 atoms:
Ho 0.1904 0.1904 0.1901
Ho 0.8096 0.8096 0.8099
Al 0.5000 0.5000 0.5000
Pd 0.0002 0.0002 0.2512
Pd 0.9998 0.9998 0.7488
Pd 0.1782 0.1782 0.6784
Pd 0.3672 0.3672 0.6272
Pd 0.3677 0.3677 0.1071
Pd 0.6323 0.6323 0.8929
Pd 0.6328 0.6328 0.3728
Pd 0.8218 0.8218 0.3216

The 8 most intense peaks (5 to 70 degrees two-theta), low angle first:
Position (°2θ)	intensity
12.58	10
32.68	21
37.50	43
38.38	15
39.32	35
40.96	100
52.02	12
61.21	15

---

Diffraction record for Ho5Al4Pd. The powder XRD pattern is theoretical, not measured: it uses DFT lattice parameters and positions (GGA-PBE) and copper Kα.
Intensities are scaled so that the largest is 100.

Structure:
Cell: 3.5691 3.5691 17.7854 Å, 90.00 90.00 90.00°
Fractional coordinates of all 10 atoms:
Ho 0.0000 0.0000 0.0000
Ho 0.0000 0.0000 0.2022
Ho 0.0000 0.0000 0.4056
Ho 0.0000 0.0000 0.5944
Ho 0.0000 0.0000 0.7978
Al 0.5000 0.5000 0.1008
Al 0.5000 0.5000 0.3028
Al 0.5000 0.5000 0.6972
Al 0.5000 0.5000 0.8992
Pd 0.5000 0.5000 0.5000

The 8 most intense peaks (5 to 70 degrees two-theta), low angle first:
Position (°2θ)	intensity
24.98	41
35.61	100
43.99	12
51.19	12
51.38	6
57.78	11
63.93	24
64.05	12

---

Diffraction record for Ho3Al7Pd4. The powder XRD pattern is theoretical, not measured: it uses DFT lattice parameters and positions (GGA-PBE) and copper Kα.
Intensities are scaled so that the largest is 100.

Structure:
Cell: 8.1080 8.1080 9.4069 Å, 123.51 123.51 30.55°
Fractional coordinates of all 14 atoms:
Ho 0.0000 0.0000 0.0000
Ho 0.3074 0.3074 0.3056
Ho 0.6926 0.6926 0.6944
Al 0.0000 0.0000 0.5000
Al 0.1501 0.1501 0.4213
Al 0.3190 0.3190 0.9742
Al 0.4957 0.4957 0.7045
Al 0.5043 0.5043 0.2955
Al 0.6810 0.6810 0.0258
Al 0.8499 0.8499 0.5787
Pd 0.1181 0.1181 0.8410
Pd 0.3378 0.3378 0.7160
Pd 0.6622 0.6622 0.2840
Pd 0.8819 0.8819 0.1590

The 8 most intense peaks (5 to 70 degrees two-theta), low angle first:
Position (°2θ)	intensity
22.54	40
22.87	32
29.56	85
34.89	99
35.53	100
35.72	90
36.13	45
42.30	93

---

Diffraction record for HoAl4Pd2. The powder XRD pattern is theoretical, not measured: it uses DFT lattice parameters and positions (GGA-PBE) and copper Kα.
Intensities are scaled so that the largest is 100.

Structure:
Cell: 7.7406 7.7406 4.1281 Å, 90.00 90.00 90.00°
Fractional coordinates of all 14 atoms:
Ho 0.0000 0.0000 0.0000
Ho 0.5000 0.5000 0.5000
Al 0.0856 0.3358 0.5000
Al 0.1642 0.5856 0.0000
Al 0.3358 0.0856 0.5000
Al 0.4144 0.8358 0.0000
Al 0.5856 0.1642 0.0000
Al 0.6642 0.9144 0.5000
Al 0.8358 0.4144 0.0000
Al 0.9144 0.6642 0.5000
Pd 0.2195 0.7805 0.5000
Pd 0.2805 0.2805 0.0000
Pd 0.7195 0.7195 0.0000
Pd 0.7805 0.2195 0.5000

The 8 most intense peaks (5 to 70 degrees two-theta), low angle first:
Position (°2θ)	intensity
16.19	38
27.05	42
32.72	52
33.79	100
36.71	25
41.26	27
42.96	47
43.86	26

---

Diffraction record for Ho4Al24Pd9. The powder XRD pattern is theoretical, not measured: it uses DFT lattice parameters and positions (GGA-PBE) and copper Kα.
Intensities are scaled so that the largest is 100.

Structure:
Cell: 7.5358 7.5397 13.1866 Å, 79.11 84.53 60.08°
Fractional coordinates of all 37 atoms:
Ho 0.0015 0.2314 0.3091
Ho 0.3320 0.5618 0.3092
Ho 0.6680 0.4382 0.6908
Ho 0.9985 0.7686 0.6909
Al 0.9995 0.1478 0.5560
Al 0.9996 0.3136 0.0593
Al 0.0004 0.6864 0.9407
Al 0.0005 0.8522 0.4440
Al 0.0068 0.0566 0.8290
Al 0.1297 0.3089 0.6848
Al 0.3333 0.0206 0.9389
Al 0.3327 0.1829 0.4536
Al 0.3333 0.6464 0.0594
Al 0.3344 0.3830 0.8293
Al 0.3337 0.4819 0.5559
Al 0.3360 0.8972 0.6836
Al 0.3403 0.2691 0.1697
Al 0.4577 0.8970 0.3163
Al 0.5423 0.1030 0.6837
Al 0.6597 0.7309 0.8303
Al 0.6640 0.1028 0.3164
Al 0.6663 0.5181 0.4441
Al 0.6656 0.6170 0.1707
Al 0.6667 0.3536 0.9406
Al 0.6673 0.8171 0.5464
Al 0.6667 0.9794 0.0611
Al 0.8703 0.6911 0.3152
Al 0.9932 0.9434 0.1710
Pd 0.0000 0.5000 0.5000
Pd 0.0080 0.6123 0.1382
Pd 0.3251 0.9536 0.1376
Pd 0.3284 0.8285 0.5000
Pd 0.3331 0.7048 0.8619
Pd 0.6669 0.2952 0.1381
Pd 0.6716 0.1715 0.5000
Pd 0.6749 0.0464 0.8624
Pd 0.9920 0.3877 0.8618

The 8 most intense peaks (5 to 70 degrees two-theta), low angle first:
Position (°2θ)	intensity
23.71	38
28.62	69
30.01	54
34.64	21
34.81	39
38.44	41
41.48	100
55.15	19

---

Diffraction record for Ho3Al8Pd3. The powder XRD pattern is theoretical, not measured: it uses DFT lattice parameters and positions (GGA-PBE) and copper Kα.
Intensities are scaled so that the largest is 100.

Structure:
Cell: 8.1526 8.1526 8.1526 Å, 149.17 105.25 83.01°
Fractional coordinates of all 14 atoms:
Ho 0.0000 0.0000 0.0000
Ho 0.3114 0.3114 0.0000
Ho 0.6886 0.6886 0.0000
Al 0.0297 0.6624 0.3672
Al 0.1603 0.8771 0.2832
Al 0.2952 0.6624 0.6328
Al 0.4061 0.1229 0.2832
Al 0.5939 0.8771 0.7168
Al 0.7048 0.3376 0.3672
Al 0.8397 0.1229 0.7168
Al 0.9703 0.3376 0.6328
Pd 0.2916 0.5000 0.7916
Pd 0.5000 0.0000 0.5000
Pd 0.7084 0.5000 0.2084

The 8 most intense peaks (5 to 70 degrees two-theta), low angle first:
Position (°2θ)	intensity
17.92	17
22.40	27
28.33	20
30.12	17
35.01	23
35.27	100
37.29	18
41.68	25

---

Diffraction record for Ho3AlPd12. The powder XRD pattern is theoretical, not measured: it uses DFT lattice parameters and positions (GGA-PBE) and copper Kα.
Intensities are scaled so that the largest is 100.

Structure:
Cell: 4.0913 4.0913 16.0438 Å, 90.00 90.00 90.00°
Fractional coordinates of all 16 atoms:
Ho 0.0000 0.0000 0.0000
Ho 0.0000 0.0000 0.2578
Ho 0.0000 0.0000 0.7422
Al 0.0000 0.0000 0.5000
Pd 0.0000 0.5000 0.1291
Pd 0.0000 0.5000 0.3881
Pd 0.0000 0.5000 0.6119
Pd 0.0000 0.5000 0.8709
Pd 0.5000 0.0000 0.1291
Pd 0.5000 0.0000 0.3881
Pd 0.5000 0.0000 0.6119
Pd 0.5000 0.0000 0.8709
Pd 0.5000 0.5000 0.0000
Pd 0.5000 0.5000 0.2584
Pd 0.5000 0.5000 0.5000
Pd 0.5000 0.5000 0.7416

The 8 most intense peaks (5 to 70 degrees two-theta), low angle first:
Position (°2θ)	intensity
5.51	3
35.27	4
38.36	100
44.28	35
45.21	14
60.68	3
64.41	11
65.14	18

---

Diffraction record for Ho11Al9Pd4. The powder XRD pattern is theoretical, not measured: it uses DFT lattice parameters and positions (GGA-PBE) and copper Kα.
Intensities are scaled so that the largest is 100.

Structure:
Cell: 12.7702 12.7702 3.5737 Å, 90.00 90.00 113.00°
Fractional coordinates of all 24 atoms:
Ho 0.0000 0.0000 0.0000
Ho 0.0626 0.4099 0.0000
Ho 0.1621 0.8379 0.0000
Ho 0.3033 0.3033 0.0000
Ho 0.3709 0.6291 0.0000
Ho 0.4099 0.0626 0.0000
Ho 0.5901 0.9374 0.0000
Ho 0.6291 0.3709 0.0000
Ho 0.6967 0.6967 0.0000
Ho 0.8379 0.1621 0.0000
Ho 0.9374 0.5901 0.0000
Al 0.0751 0.2150 0.5000
Al 0.1645 0.6333 0.5000
Al 0.2150 0.0751 0.5000
Al 0.3667 0.8355 0.5000
Al 0.5000 0.5000 0.5000
Al 0.6333 0.1645 0.5000
Al 0.7850 0.9249 0.5000
Al 0.8355 0.3667 0.5000
Al 0.9249 0.7850 0.5000
Pd 0.2421 0.4461 0.5000
Pd 0.4461 0.2421 0.5000
Pd 0.5539 0.7579 0.5000
Pd 0.7579 0.5539 0.5000

The 8 most intense peaks (5 to 70 degrees two-theta), low angle first:
Position (°2θ)	intensity
19.35	34
24.92	39
25.27	33
33.95	32
35.65	100
35.79	98
35.91	66
38.04	45